Diffraction record for Sm7VSe8O4. The XRD peak list is theoretical, not measured: it uses a DFT-relaxed cell (PBE+U, Alexandria) and λ = 1.5418 Å (Cu Kα).
Lines closer than 0.1° are merged.

Most intense lines, 10 to 90 degrees two-theta, by intensity:
(4 2 1), d = 2.524 Å, 35.6°, intensity 100.0
(2 4 0), d = 3.455 Å, 25.8°, intensity 84.5
(3 2 1), d = 2.854 Å, 31.3°, intensity 49.8
(0 0 2), d = 1.998 Å, 45.4°, intensity 48.2
(3 1 1), d = 3.006 Å, 29.7°, intensity 47.0
(2 5 0), d = 2.884 Å, 31.0°, intensity 41.3
(3 3 1), d = 2.646 Å, 33.9°, intensity 39.8
(0 6 0), d = 2.627 Å, 34.1°, intensity 36.7
(2 3 1), d = 2.906 Å, 30.8°, intensity 34.6
(6 1 0), d = 2.357 Å, 38.2°, intensity 27.2

Atomic structure:
Cell: 14.304 15.755 3.995 Å, 90.00 90.00 90.00°
Space group Pbam (No. 55)
Inequivalent atoms, fractional coordinates:
Sm  0.000  0.000  0.000
Sm  0.008  0.312  0.500
Sm  0.211  0.381  0.000
Sm  0.219  0.165  0.500
V  0.000  0.500  0.000
Se  0.068  0.172  0.000
Se  0.120  0.533  0.500
Se  0.146  0.973  0.500
Se  0.156  0.735  0.000
O  0.047  0.381  0.000
O  0.173  0.312  0.500